For CaY5Rh6, a crystal structure in Alexandria, relaxed with GGA-PBE gives the simulated powder diffractogram in this record (a wavelength of 1.5418 Å).
Peak positions follow from Bragg's law for the DFT cell and can differ from measured ones.

Structure:
```
CaY5Rh6
1.0
4.2071 -7.2650 0.0000
4.2071 7.2650 0.0000
-2.7867 0.0000 3.9700
Ca Y Rh
1 5 6
Direct
0.0000 0.0000 0.0000
0.1626 0.8374 0.5000
0.3318 0.6682 0.0000
0.5000 0.5000 0.5000
0.6682 0.3318 0.0000
0.8374 0.1626 0.5000
0.0852 0.4247 0.2552
0.2602 0.2602 0.7603
0.4247 0.0852 0.2552
0.5753 0.9148 0.7448
0.7398 0.7398 0.2397
0.9148 0.5753 0.7448
```

The 10 most intense peaks (10° ≤ 2θ ≤ 90°), low angle first:
two_theta	intensity
37.0	100
37.1	20
53.2	7
53.5	13
66.5	3
66.7	17
66.8	20
78.7	4
78.9	6
79.1	2

For Ca2Tb4Sn3O2, a crystal structure in Alexandria, relaxed with GGA-PBE gives the simulated powder diffractogram in this record (a wavelength of 1.5418 Å).
Peak positions follow from Bragg's law for the DFT cell and can differ from measured ones.

Structure:
```
Ca2Tb4Sn3O2
1.0
-2.3710 2.3710 12.5310
2.3710 -2.3710 12.5310
2.3710 2.3710 -12.5310
Ca Tb Sn O
2 4 3 2
Direct
0.1961 0.1961 0.0000
0.8039 0.8039 0.0000
0.0857 0.5857 0.5000
0.4143 0.9143 0.5000
0.5857 0.0857 0.5000
0.9143 0.4143 0.5000
0.3270 0.3270 0.0000
0.5000 0.5000 0.0000
0.6730 0.6730 0.0000
0.0953 0.0953 0.0000
0.9047 0.9047 0.0000
```

The 10 most intense peaks (10° ≤ 2θ ≤ 90°), low angle first:
two_theta	intensity
14.1	22
19.0	13
27.5	24
30.2	20
34.3	100
37.9	48
43.3	11
54.8	16
58.9	19
66.2	31

For Y2Th2Sb5, a crystal structure in Alexandria, relaxed with GGA-PBE gives the simulated powder diffractogram in this record (a wavelength of 1.5418 Å).
Peak positions follow from Bragg's law for the DFT cell and can differ from measured ones.

Structure:
```
Y2Th2Sb5
1.0
7.8836 -4.1358 0.0000
7.8836 4.1358 0.0000
0.0000 0.0000 8.2912
Y Th Sb
4 4 10
Direct
0.1525 0.8475 0.8448
0.3475 0.6525 0.3448
0.6525 0.3475 0.6552
0.8475 0.1525 0.1552
0.1933 0.1933 0.5000
0.3067 0.3067 0.0000
0.6933 0.6933 0.0000
0.8067 0.8067 0.5000
0.0000 0.0000 0.5000
0.0159 0.7090 0.1516
0.2090 0.5159 0.6516
0.2910 0.9841 0.1516
0.4841 0.7910 0.6516
0.5000 0.5000 0.0000
0.5159 0.2090 0.3484
0.7090 0.0159 0.8484
0.7910 0.4841 0.3484
0.9841 0.2910 0.8484
```

The 10 most intense peaks (10° ≤ 2θ ≤ 90°), low angle first:
two_theta	intensity
21.5	31
24.3	26
29.5	54
30.5	48
32.2	63
33.2	45
34.1	25
34.7	100
45.0	50
63.0	35

For NaTb4Te5, a crystal structure in Alexandria, relaxed with GGA-PBE gives the simulated powder diffractogram in this record (a wavelength of 1.5418 Å).
Peak positions follow from Bragg's law for the DFT cell and can differ from measured ones.

Structure:
```
NaTb4Te5
1.0
-2.2033 3.0949 11.0399
2.2033 -3.0949 11.0399
2.2033 3.0949 -11.0399
Na Tb Te
1 4 5
Direct
0.0000 0.0000 0.0000
0.2047 0.2047 0.0000
0.3988 0.3988 0.0000
0.6012 0.6012 0.0000
0.7953 0.7953 0.0000
0.1037 0.6037 0.5000
0.3016 0.8016 0.5000
0.5000 0.0000 0.5000
0.6984 0.1984 0.5000
0.8963 0.3963 0.5000
```

The 10 most intense peaks (10° ≤ 2θ ≤ 90°), low angle first:
two_theta	intensity
28.6	100
28.8	49
40.9	38
41.1	75
50.8	40
59.2	12
67.2	26
67.6	17
74.7	13
75.0	13